Calculated powder diffraction line list
Compound: FeAg2H12C14N8
Radiation: λ = 1.5418 Å (Cu Kα)
Structure: a crystal structure in OQMD, relaxed with PBE
Kinematic intensities with the Lorentz-polarization factor, no thermal factor.

The 8 most intense peaks (15° ≤ 2θ ≤ 90°), in order of rising 2θ:
2θ/deg	I/Imax
17.9	100.0
21.1	35.2
21.2	32.4
23.2	73.4
27.2	39.1
30.4	24.9
39.7	26.6
42.9	24.8

Structural model:
a b c (Å): 6.6802 7.0620 9.0102
angles (deg): 70.38 79.35 84.30
Sites, in units of the cell vectors:
Fe (0.0000, 0.0000, 0.0000)
Ag (0.5000, 0.0000, 0.5000)
Ag (0.5000, 0.5000, 0.0000)
H (0.0402, 0.1799, 0.5454)
H (0.1073, 0.4163, 0.7930)
H (0.1108, 0.1401, 0.3586)
H (0.1306, 0.7442, 0.5992)
H (0.3863, 0.9345, 0.1455)
H (0.4685, 0.3415, 0.6435)
H (0.5315, 0.6585, 0.3565)
H (0.6137, 0.0655, 0.8545)
H (0.8694, 0.2558, 0.4008)
H (0.8892, 0.8599, 0.6414)
H (0.8927, 0.5837, 0.2070)
H (0.9598, 0.8201, 0.4546)
C (0.0287, 0.2445, 0.4184)
C (0.0378, 0.6012, 0.2375)
C (0.1261, 0.4421, 0.3490)
C (0.2776, 0.3040, 0.0271)
C (0.3080, 0.7947, 0.2037)
C (0.3202, 0.9635, 0.7185)
C (0.3900, 0.6381, 0.3205)
C (0.6100, 0.3619, 0.6795)
C (0.6798, 0.0365, 0.2815)
C (0.6920, 0.2053, 0.7963)
C (0.7224, 0.6960, 0.9729)
C (0.8739, 0.5579, 0.6510)
C (0.9622, 0.3988, 0.7625)
C (0.9713, 0.7555, 0.5816)
N (0.1279, 0.7784, 0.1621)
N (0.1649, 0.1873, 0.0250)
N (0.2030, 0.9673, 0.8319)
N (0.3023, 0.4610, 0.3940)
N (0.6977, 0.5390, 0.6060)
N (0.7970, 0.0327, 0.1681)
N (0.8351, 0.8127, 0.9750)
N (0.8721, 0.2216, 0.8379)

---

Calculated powder diffraction line list
Compound: HoLuCu2Ge2
Radiation: λ = 1.5418 Å (Cu Kα)
Structure: a crystal structure in OQMD, relaxed with PBE
Kinematic intensities with the Lorentz-polarization factor, no thermal factor.

The 8 most intense peaks (15° ≤ 2θ ≤ 90°), in order of rising 2θ:
2θ/deg	I/Imax
24.2	21.1
35.1	100.0
42.6	51.8
51.5	7.4
56.4	25.5
69.0	18.5
73.2	23.3
78.0	8.5

Structural model:
a b c (Å): 4.2429 4.2429 7.1010
angles (deg): 90.00 90.00 120.00
Sites, in units of the cell vectors:
Ho (0.0000, 0.0000, 0.0000)
Lu (0.0000, 0.0000, 0.5009)
Cu (0.3333, 0.6667, 0.2286)
Cu (0.6667, 0.3333, 0.7035)
Ge (0.3333, 0.6667, 0.7717)
Ge (0.6667, 0.3333, 0.2814)

---

Calculated powder diffraction line list
Compound: MoPPd
Radiation: λ = 1.5418 Å (Cu Kα)
Structure: a crystal structure in OQMD, relaxed with PBE
Kinematic intensities with the Lorentz-polarization factor, no thermal factor.

The 8 most intense peaks (15° ≤ 2θ ≤ 90°), in order of rising 2θ:
2θ/deg	I/Imax
30.9	35.5
34.0	70.0
37.2	89.0
41.9	87.0
42.9	100.0
50.1	33.0
51.3	41.9
70.3	31.1

Structural model:
a b c (Å): 2.6781 14.4719 4.8372
angles (deg): 90.00 90.00 90.00
Sites, in units of the cell vectors:
Mo (0.0000, 0.2207, 0.0000)
Mo (0.0000, 0.7793, 0.5000)
Mo (0.5000, 0.2793, 0.5000)
Mo (0.5000, 0.7207, 0.0000)
P (0.0000, 0.0589, 0.0030)
P (0.0000, 0.9411, 0.5030)
P (0.5000, 0.4411, 0.5030)
P (0.5000, 0.5589, 0.0030)
Pd (0.0000, 0.1071, 0.5017)
Pd (0.0000, 0.8929, 0.0017)
Pd (0.5000, 0.3929, 0.0017)
Pd (0.5000, 0.6071, 0.5017)

---

Calculated powder diffraction line list
Compound: NiP2W
Radiation: λ = 1.5418 Å (Cu Kα)
Structure: a crystal structure in OQMD, relaxed with PBE
Kinematic intensities with the Lorentz-polarization factor, no thermal factor.

The 8 most intense peaks (15° ≤ 2θ ≤ 90°), in order of rising 2θ:
2θ/deg	I/Imax
15.7	32.9
30.9	85.9
31.8	20.1
34.9	38.8
44.9	100.0
55.0	33.7
65.0	15.9
73.7	22.6

Structural model:
a b c (Å): 3.3383 3.3383 11.2602
angles (deg): 90.00 90.00 120.00
Sites, in units of the cell vectors:
Ni (0.0000, 0.0000, 0.0000)
Ni (0.0000, 0.0000, 0.5000)
P (0.3333, 0.6667, 0.1129)
P (0.3333, 0.6667, 0.3871)
P (0.6667, 0.3333, 0.6129)
P (0.6667, 0.3333, 0.8871)
W (0.0000, 0.0000, 0.2500)
W (0.0000, 0.0000, 0.7500)

---

Calculated powder diffraction line list
Compound: BiPt17
Radiation: λ = 1.5418 Å (Cu Kα)
Structure: a crystal structure in OQMD, relaxed with PBE
Kinematic intensities with the Lorentz-polarization factor, no thermal factor.

The 8 most intense peaks (15° ≤ 2θ ≤ 90°), in order of rising 2θ:
2θ/deg	I/Imax
36.4	31.9
38.7	100.0
39.5	86.4
40.3	62.3
41.1	41.4
45.8	32.0
46.6	51.2
67.4	34.5

Structural model:
a b c (Å): 4.7879 4.7879 30.4872
angles (deg): 90.08 90.08 48.86
Sites, in units of the cell vectors:
Bi (0.0000, 0.0000, 0.0000)
Pt (0.0929, 0.0929, 0.6085)
Pt (0.0953, 0.0953, 0.9042)
Pt (0.1942, 0.1942, 0.8154)
Pt (0.1973, 0.1973, 0.5181)
Pt (0.2957, 0.2957, 0.7275)
Pt (0.3930, 0.3930, 0.9367)
Pt (0.3962, 0.3962, 0.6388)
Pt (0.4942, 0.4942, 0.8453)
Pt (0.5022, 0.5022, 0.5473)
Pt (0.5964, 0.5964, 0.7560)
Pt (0.6963, 0.6963, 0.6677)
Pt (0.6955, 0.6955, 0.9647)
Pt (0.7936, 0.7936, 0.5812)
Pt (0.7954, 0.7954, 0.8750)
Pt (0.8923, 0.8923, 0.4973)
Pt (0.8961, 0.8961, 0.7861)
Pt (0.9957, 0.9957, 0.6977)

---

Calculated powder diffraction line list
Compound: Li4In2HgPd
Radiation: λ = 1.5418 Å (Cu Kα)
Structure: a crystal structure in OQMD, relaxed with PBE
Kinematic intensities with the Lorentz-polarization factor, no thermal factor.

The 8 most intense peaks (15° ≤ 2θ ≤ 90°), in order of rising 2θ:
2θ/deg	I/Imax
23.6	100.0
38.8	61.0
39.4	30.4
45.4	16.5
46.4	33.0
56.9	10.2
61.6	13.2
71.0	20.2

Structural model:
a b c (Å): 4.5763 4.5763 6.6588
angles (deg): 90.00 90.00 90.00
Sites, in units of the cell vectors:
Li (0.0000, 0.0000, 0.0000)
Li (0.0000, 0.5000, 0.2388)
Li (0.5000, 0.0000, 0.7612)
Li (0.5000, 0.5000, 0.5000)
In (0.0000, 0.5000, 0.7736)
In (0.5000, 0.0000, 0.2264)
Hg (0.0000, 0.0000, 0.5000)
Pd (0.5000, 0.5000, 0.0000)

---

Calculated powder diffraction line list
Compound: Mg2BIr
Radiation: λ = 1.5418 Å (Cu Kα)
Structure: a crystal structure in OQMD, relaxed with PBE
Kinematic intensities with the Lorentz-polarization factor, no thermal factor.

The 8 most intense peaks (15° ≤ 2θ ≤ 90°), in order of rising 2θ:
2θ/deg	I/Imax
25.8	100.0
29.9	63.1
42.8	90.8
50.7	49.8
53.1	17.7
68.4	20.6
70.5	23.0
78.4	30.5

Structural model:
a b c (Å): 5.9767 5.9767 5.9767
angles (deg): 90.00 90.00 90.00
Sites, in units of the cell vectors:
Mg (0.0000, 0.0000, 0.0000)
Mg (0.0000, 0.5000, 0.5000)
Mg (0.2500, 0.2500, 0.2500)
Mg (0.2500, 0.7500, 0.7500)
Mg (0.5000, 0.0000, 0.5000)
Mg (0.5000, 0.5000, 0.0000)
Mg (0.7500, 0.2500, 0.7500)
Mg (0.7500, 0.7500, 0.2500)
B (0.0000, 0.0000, 0.5000)
B (0.0000, 0.5000, 0.0000)
B (0.5000, 0.0000, 0.0000)
B (0.5000, 0.5000, 0.5000)
Ir (0.2500, 0.2500, 0.7500)
Ir (0.2500, 0.7500, 0.2500)
Ir (0.7500, 0.2500, 0.2500)
Ir (0.7500, 0.7500, 0.7500)

---

Calculated powder diffraction line list
Compound: ZrScSbC
Radiation: λ = 1.5418 Å (Cu Kα)
Structure: a crystal structure in OQMD, relaxed with PBE
Kinematic intensities with the Lorentz-polarization factor, no thermal factor.

The 8 most intense peaks (15° ≤ 2θ ≤ 90°), in order of rising 2θ:
2θ/deg	I/Imax
30.1	22.1
35.7	100.0
37.8	17.3
49.1	14.9
53.5	21.4
65.9	15.6
66.9	14.8
67.4	18.2

Structural model:
a b c (Å): 3.4268 3.4268 14.2732
angles (deg): 90.00 90.00 120.00
Sites, in units of the cell vectors:
Zr (0.3333, 0.6667, 0.0860)
Zr (0.6667, 0.3333, 0.9140)
Sc (0.3333, 0.6667, 0.4163)
Sc (0.6667, 0.3333, 0.5837)
Sb (0.3333, 0.6667, 0.7495)
Sb (0.6667, 0.3333, 0.2505)
C (0.0000, 0.0000, 0.0000)
C (0.0000, 0.0000, 0.5000)

---

Calculated powder diffraction line list
Compound: KCu3GeS4
Radiation: λ = 1.5418 Å (Cu Kα)
Structure: a crystal structure in OQMD, relaxed with PBE
Kinematic intensities with the Lorentz-polarization factor, no thermal factor.

The 8 most intense peaks (15° ≤ 2θ ≤ 90°), in order of rising 2θ:
2θ/deg	I/Imax
15.4	100.0
26.1	26.6
29.4	17.9
35.4	23.5
38.6	17.1
44.6	32.9
45.8	32.2
51.3	17.4

Structural model:
a b c (Å): 5.5878 7.3277 9.6383
angles (deg): 90.00 104.57 90.00
Sites, in units of the cell vectors:
K (0.1936, 0.2500, 0.3665)
K (0.8064, 0.7500, 0.6335)
Cu (0.2959, 0.5607, 0.0256)
Cu (0.2959, 0.9393, 0.0256)
Cu (0.4193, 0.7500, 0.2605)
Cu (0.5807, 0.2500, 0.7395)
Cu (0.7041, 0.0607, 0.9744)
Cu (0.7041, 0.4393, 0.9744)
Ge (0.1271, 0.2500, 0.7770)
Ge (0.8729, 0.7500, 0.2230)
S (0.0392, 0.2500, 0.9970)
S (0.1824, 0.7500, 0.4158)
S (0.3614, 0.5085, 0.7885)
S (0.3614, 0.9915, 0.7885)
S (0.6386, 0.0085, 0.2115)
S (0.6386, 0.4915, 0.2115)
S (0.8176, 0.2500, 0.5842)
S (0.9608, 0.7500, 0.0030)

---

Calculated powder diffraction line list
Compound: CdHg2Os
Radiation: λ = 1.5418 Å (Cu Kα)
Structure: a crystal structure in OQMD, relaxed with PBE
Kinematic intensities with the Lorentz-polarization factor, no thermal factor.

The 8 most intense peaks (15° ≤ 2θ ≤ 90°), in order of rising 2θ:
2θ/deg	I/Imax
22.8	3.4
26.4	1.3
37.7	100.0
44.5	2.0
54.4	17.5
59.7	0.9
68.0	35.8
80.5	11.4

Structural model:
a b c (Å): 6.7516 6.7516 6.7516
angles (deg): 90.00 90.00 90.00
Sites, in units of the cell vectors:
Cd (0.0000, 0.0000, 0.0000)
Cd (0.0000, 0.5000, 0.5000)
Cd (0.5000, 0.0000, 0.5000)
Cd (0.5000, 0.5000, 0.0000)
Hg (0.0000, 0.0000, 0.5000)
Hg (0.0000, 0.5000, 0.0000)
Hg (0.2500, 0.2500, 0.2500)
Hg (0.2500, 0.7500, 0.7500)
Hg (0.5000, 0.0000, 0.0000)
Hg (0.5000, 0.5000, 0.5000)
Hg (0.7500, 0.2500, 0.7500)
Hg (0.7500, 0.7500, 0.2500)
Os (0.2500, 0.2500, 0.7500)
Os (0.2500, 0.7500, 0.2500)
Os (0.7500, 0.2500, 0.2500)
Os (0.7500, 0.7500, 0.7500)

---

Calculated powder diffraction line list
Compound: K2Hf3ZrC2
Radiation: λ = 1.5418 Å (Cu Kα)
Structure: a crystal structure in OQMD, relaxed with PBE
Kinematic intensities with the Lorentz-polarization factor, no thermal factor.

The 8 most intense peaks (15° ≤ 2θ ≤ 90°), in order of rising 2θ:
2θ/deg	I/Imax
28.4	23.4
30.9	22.1
34.1	100.0
39.2	35.3
42.4	15.4
55.0	19.6
63.0	25.6
66.3	14.2

Structural model:
a b c (Å): 3.3416 3.3416 18.8869
angles (deg): 90.00 90.00 120.00
Sites, in units of the cell vectors:
K (0.0000, 0.0000, 0.0000)
K (0.3333, 0.6667, 0.5016)
Hf (0.0000, 0.0000, 0.3162)
Hf (0.0000, 0.0000, 0.6864)
Hf (0.3333, 0.6667, 0.8153)
Zr (0.3333, 0.6667, 0.1860)
C (0.6667, 0.3333, 0.2534)
C (0.6667, 0.3333, 0.7509)

---

Calculated powder diffraction line list
Compound: KHfZrS3
Radiation: λ = 1.5418 Å (Cu Kα)
Structure: a crystal structure in OQMD, relaxed with PBE
Kinematic intensities with the Lorentz-polarization factor, no thermal factor.

The 8 most intense peaks (15° ≤ 2θ ≤ 90°), in order of rising 2θ:
2θ/deg	I/Imax
24.0	31.0
29.6	67.5
30.4	37.8
34.3	100.0
36.0	32.6
38.1	25.9
42.3	60.0
46.3	20.3

Structural model:
a b c (Å): 7.6668 7.6668 9.9719
angles (deg): 90.00 90.00 150.35
Sites, in units of the cell vectors:
K (0.2458, 0.7542, 0.7500)
K (0.7542, 0.2458, 0.2500)
Hf (0.4812, 0.5188, 0.2500)
Hf (0.5188, 0.4812, 0.7500)
Zr (0.0000, 0.0000, 0.0000)
Zr (0.0000, 0.0000, 0.5000)
S (0.0823, 0.9177, 0.2500)
S (0.3818, 0.6182, 0.0532)
S (0.3818, 0.6182, 0.4468)
S (0.6182, 0.3818, 0.5532)
S (0.6182, 0.3818, 0.9468)
S (0.9177, 0.0823, 0.7500)

---

Calculated powder diffraction line list
Compound: Li6Os4O11
Radiation: λ = 1.5418 Å (Cu Kα)
Structure: a crystal structure in OQMD, relaxed with PBE
Kinematic intensities with the Lorentz-polarization factor, no thermal factor.

The 8 most intense peaks (15° ≤ 2θ ≤ 90°), in order of rising 2θ:
2θ/deg	I/Imax
18.4	100.0
20.8	51.0
24.3	39.1
31.1	21.9
36.0	17.5
38.8	14.3
44.6	16.1
46.8	14.4

Structural model:
a b c (Å): 4.9497 5.0330 8.8038
angles (deg): 75.95 87.70 81.64
Sites, in units of the cell vectors:
Li (0.0000, 0.0000, 0.0000)
Li (0.0108, 0.0096, 0.3250)
Li (0.2518, 0.4988, 0.9175)
Li (0.4842, 0.0134, 0.5032)
Li (0.5045, 0.0042, 0.8343)
Li (0.7556, 0.4865, 0.4195)
Os (0.2085, 0.5135, 0.5955)
Os (0.2851, 0.5033, 0.2418)
Os (0.7137, 0.4948, 0.0953)
Os (0.7951, 0.5012, 0.7322)
O (0.0961, 0.2851, 0.1246)
O (0.1329, 0.2442, 0.7979)
O (0.1426, 0.2836, 0.4455)
O (0.3554, 0.7262, 0.3962)
O (0.3736, 0.7583, 0.0397)
O (0.4271, 0.7254, 0.7010)
O (0.6203, 0.2728, 0.6282)
O (0.6321, 0.2697, 0.9572)
O (0.6327, 0.2370, 0.2994)
O (0.8574, 0.7153, 0.8922)
O (0.9081, 0.7151, 0.2159)